This entry pairs a crystal structure of NdYZn2In2 with its computed X-ray diffraction stick pattern. Radiation: Cu Ka. Structure: the GGA-PBE geometry in OQMD.
Peak positions follow from Bragg's law for the DFT cell and can differ from measured ones.

Peak list (8 most intense, 10° ≤ 2θ ≤ 90°, in order of rising 2θ)
(1 0 1), 2θ 24.94, d = 3.571 Å, intensity 18.9; (0 1 2), 2θ 32.55, d = 2.751 Å, intensity 100.0; (1 1 0), 2θ 38.36, d = 2.347 Å, intensity 73.5; (0 1 3), 2θ 42.57, d = 2.124 Å, intensity 14.7; (2 0 2), 2θ 51.17, d = 1.785 Å, intensity 27.3; (1 1 4), 2θ 63.67, d = 1.462 Å, intensity 18.1; (1 2 2), 2θ 65.72, d = 1.421 Å, intensity 25.2; (3 0 0), 2θ 69.36, d = 1.355 Å, intensity 12.2

Crystal structure
```
6
Lattice="4.6932 0.0000 0.0000 -2.3466 4.0644 0.0000 0.0000 0.0000 7.4732" Properties=species:S:1:pos:R:3 pbc="T T T"
Nd 0.0000 0.0000 0.0000
Y 0.0000 0.0000 3.7416
Zn 0.0000 2.7096 1.5293
Zn 2.3466 1.3548 5.1686
In 0.0000 2.7096 5.7396
In 2.3466 1.3548 2.1032
```



This entry pairs a crystal structure of TbY3Sn2C2 with its computed X-ray diffraction stick pattern. Radiation: Cu Ka. Structure: the GGA-PBE geometry in OQMD.
Peak positions follow from Bragg's law for the DFT cell and can differ from measured ones.

Peak list (8 most intense, 10° ≤ 2θ ≤ 90°, in order of rising 2θ)
(1 0 0), 2θ 28.36, d = 3.147 Å, intensity 22.3; (0 1 3), 2θ 33.11, d = 2.706 Å, intensity 100.0; (0 0 6), 2θ 33.84, d = 2.649 Å, intensity 19.5; (1 0 6), 2θ 44.72, d = 2.027 Å, intensity 16.5; (1 1 0), 2θ 50.20, d = 1.817 Å, intensity 21.6; (0 1 9), 2θ 60.08, d = 1.540 Å, intensity 17.9; (2 0 3), 2θ 61.46, d = 1.509 Å, intensity 16.8; (1 1 6), 2θ 61.92, d = 1.498 Å, intensity 20.8

Crystal structure
```
8
Lattice="3.6344 0.0000 0.0000 -1.8172 3.1475 0.0000 0.0000 0.0000 15.8929" Properties=species:S:1:pos:R:3 pbc="T T T"
Tb 0.0000 0.0000 0.0000
Y 0.0000 0.0000 5.2582
Y 0.0000 2.0983 7.9483
Y 0.0000 2.0983 13.1945
Sn 0.0000 0.0000 10.5755
Sn 0.0000 2.0983 2.6391
C 1.8172 1.0492 6.6062
C 1.8172 1.0492 14.5495
```



This entry pairs a crystal structure of LiZn3 with its computed X-ray diffraction stick pattern. Radiation: Cu Ka. Structure: the GGA-PBE geometry in OQMD.
Peak positions follow from Bragg's law for the DFT cell and can differ from measured ones.

Peak list (8 most intense, 10° ≤ 2θ ≤ 90°, in order of rising 2θ)
(0 1 1), 2θ 25.12, d = 3.545 Å, intensity 19.6; (1 1 0), 2θ 26.10, d = 3.414 Å, intensity 24.5; (0 2 1), 2θ 38.13, d = 2.360 Å, intensity 21.1; (2 0 0), 2θ 41.38, d = 2.182 Å, intensity 37.5; (1 2 1), 2θ 43.59, d = 2.076 Å, intensity 100.0; (1 0 2), 2θ 44.15, d = 2.052 Å, intensity 42.9; (3 2 1), 2θ 77.00, d = 1.238 Å, intensity 16.8; (2 2 3), 2θ 84.43, d = 1.147 Å, intensity 16.7

Crystal structure
```
8
Lattice="4.3640 0.0000 0.0000 0.0000 5.4797 0.0000 0.0000 0.0000 4.6487" Properties=species:S:1:pos:R:3 pbc="T T T"
Li 1.0910 1.3699 0.7773
Li 3.2730 4.1098 3.8714
Zn 1.0910 2.7466 3.1249
Zn 1.0910 4.1098 0.7965
Zn 1.0910 5.4730 3.1249
Zn 3.2730 0.0067 1.5238
Zn 3.2730 1.3699 3.8522
Zn 3.2730 2.7332 1.5238
```